The following is a simulated powder diffraction line list of MgPb. It was derived from a DFT-relaxed cell (PBE, Alexandria), using Cu Kα X-rays.
Lines closer than 0.1° are merged.

Atomic structure:
a = 3.6257 Å, b = 5.2236 Å, c = 11.2492 Å
α = 90.00°, β = 90.00°, γ = 90.00°
Space group Imma (No. 74)
One atom of each set of equivalent atoms:
Mg 0.0000 0.2500 0.1300
Pb 0.0000 0.2500 0.6190

Largest 6 diffraction maxima, by angle, 2θ from 5° to 70°:
18.73°, intensity 57
25.82°, intensity 33
31.82°, intensity 29
34.06°, intensity 100
34.36°, intensity 35
47.53°, intensity 29

The following is a simulated powder diffraction line list of CeMg5Au6. It was derived from a DFT-relaxed cell (PBE, Alexandria), using Cu Kα X-rays.
Lines closer than 0.1° are merged.

Atomic structure:
a = 4.7964 Å, b = 6.8294 Å, c = 7.5846 Å
α = 90.00°, β = 108.24°, γ = 90.00°
Space group P2/m (No. 10)
One atom of each set of equivalent atoms:
Ce 0.0000 0.0000 0.0000
Mg 0.0000 0.5000 0.0000
Mg 0.3262 0.0000 0.6545
Mg 0.3345 0.5000 0.6747
Au 0.1760 0.2652 0.3466
Au 0.5000 0.2717 0.0000

Largest 6 diffraction maxima, by angle, 2θ from 5° to 70°:
26.10°, intensity 24
26.26°, intensity 51
37.36°, intensity 100
37.48°, intensity 51
46.24°, intensity 21
67.61°, intensity 17

The following is a simulated powder diffraction line list of Rb2ErHCl6. It was derived from a DFT-relaxed cell (PBE, Alexandria), using Cu Kα X-rays.
Lines closer than 0.1° are merged.

Atomic structure:
a = 8.5289 Å, b = 11.6523 Å, c = 7.2098 Å
α = 90.00°, β = 126.13°, γ = 90.00°
Space group C2/m (No. 12)
One atom of each set of equivalent atoms:
Rb 0.0000 0.2505 0.0000
Er 0.0000 0.0000 0.5000
H 0.0000 0.5000 0.5000
Cl 0.0000 0.2214 0.5000
Cl 0.1813 0.5000 0.4970
Cl 0.2201 0.0000 0.9429

Largest 6 diffraction maxima, by angle, 2θ from 5° to 70°:
14.95°, intensity 95
21.58°, intensity 62
25.89°, intensity 92
30.70°, intensity 100
33.34°, intensity 36
40.58°, intensity 50

The following is a simulated powder diffraction line list of SrSi2Au8. It was derived from a DFT-relaxed cell (PBE, Alexandria), using Cu Kα X-rays.
Lines closer than 0.1° are merged.

Atomic structure:
a = 5.6806 Å, b = 5.6806 Å, c = 8.3512 Å
α = 90.00°, β = 90.00°, γ = 90.00°
Space group P4/mmm (No. 123)
One atom of each set of equivalent atoms:
Sr 0.0000 0.0000 0.0000
Si 0.0000 0.5000 0.5000
Au 0.2524 0.2524 0.3080

Largest 6 diffraction maxima, by angle, 2θ from 5° to 70°:
10.59°, intensity 83
21.28°, intensity 66
31.50°, intensity 98
38.33°, intensity 100
45.14°, intensity 54
45.63°, intensity 66

The following is a simulated powder diffraction line list of Er2ZnCu12Ni3. It was derived from a DFT-relaxed cell (PBE, Alexandria), using Cu Kα X-rays.
Lines closer than 0.1° are merged.

Atomic structure:
a = 8.4145 Å, b = 8.4145 Å, c = 12.2417 Å
α = 90.00°, β = 90.00°, γ = 120.00°
Space group R-3m (No. 166, hexagonal axes)
One atom of each set of equivalent atoms:
Er 0.0000 0.0000 0.2453
Zn 0.0000 0.0000 0.5000
Cu 0.0129 0.5065 0.2060
Cu 0.0464 0.5232 0.6004
Ni 0.0000 0.5000 0.0000

Largest 6 diffraction maxima, by angle, 2θ from 5° to 70°:
31.71°, intensity 17
35.75°, intensity 33
38.41°, intensity 17
43.00°, intensity 100
44.24°, intensity 19
44.59°, intensity 47

The following is a simulated powder diffraction line list of UB4. It was derived from a DFT-relaxed cell (PBE, Alexandria), using Cu Kα X-rays.
Lines closer than 0.1° are merged.

Atomic structure:
a = 7.0298 Å, b = 7.0298 Å, c = 3.9566 Å
α = 90.00°, β = 90.00°, γ = 90.00°
Space group P4/mbm (No. 127)
One atom of each set of equivalent atoms:
U 0.1901 0.3099 0.0000
B 0.0000 0.0000 0.2000
B 0.0386 0.8209 0.5000
B 0.0869 0.5869 0.5000

Largest 6 diffraction maxima, by angle, 2θ from 5° to 70°:
22.47°, intensity 75
25.34°, intensity 63
28.39°, intensity 81
34.12°, intensity 76
36.50°, intensity 100
58.99°, intensity 47

The following is a simulated powder diffraction line list of TcSe2Br. It was derived from a DFT-relaxed cell (PBE, Alexandria), using Cu Kα X-rays.
Lines closer than 0.1° are merged.

Atomic structure:
a = 5.8375 Å, b = 7.5499 Å, c = 8.6041 Å
α = 90.00°, β = 90.00°, γ = 90.00°
Space group Imma (No. 74)
One atom of each set of equivalent atoms:
Tc 0.2500 0.2500 0.2500
Se 0.0000 0.0018 0.1465
Br 0.0000 0.2500 0.4957

Largest 6 diffraction maxima, by angle, 2θ from 5° to 70°:
15.62°, intensity 85
30.04°, intensity 100
34.85°, intensity 55
37.23°, intensity 26
44.53°, intensity 53
48.72°, intensity 40

The following is a simulated powder diffraction line list of RbTmMg2Br8. It was derived from a DFT-relaxed cell (PBE, Alexandria), using Cu Kα X-rays.
Lines closer than 0.1° are merged.

Atomic structure:
a = 6.9215 Å, b = 6.9503 Å, c = 9.6013 Å
α = 76.19°, β = 77.27°, γ = 75.78°
Space group P-1 (No. 2)
One atom of each set of equivalent atoms:
Rb 0.0000 0.0000 0.0000
Tm 0.0000 0.0000 0.5000
Mg 0.4527 0.4477 0.2141
Br 0.1861 0.7278 0.7214
Br 0.2501 0.7933 0.2893
Br 0.2740 0.2443 0.4574
Br 0.3540 0.3148 0.0192

Largest 6 diffraction maxima, by angle, 2θ from 5° to 70°:
14.91°, intensity 49
15.11°, intensity 51
16.92°, intensity 80
27.61°, intensity 72
28.36°, intensity 98
28.80°, intensity 100

The following is a simulated powder diffraction line list of POsSe. It was derived from a DFT-relaxed cell (PBE, Alexandria), using Cu Kα X-rays.
Lines closer than 0.1° are merged.

Atomic structure:
a = 6.0108 Å, b = 5.9802 Å, c = 6.1023 Å
α = 90.00°, β = 112.22°, γ = 90.00°
Space group P2_1 (No. 4)
One atom of each set of equivalent atoms:
P 0.1487 0.0000 0.1280
P 0.3446 0.4918 0.4277
Os 0.2657 0.6362 0.0515
Os 0.2821 0.1360 0.5329
Se 0.1560 0.7466 0.6197
Se 0.3374 0.2538 0.9366

Largest 6 diffraction maxima, by angle, 2θ from 5° to 70°:
23.11°, intensity 100
29.88°, intensity 44
31.68°, intensity 38
32.17°, intensity 45
47.24°, intensity 44
47.95°, intensity 33

The following is a simulated powder diffraction line list of Li2PmAg10. It was derived from a DFT-relaxed cell (PBE, Alexandria), using Cu Kα X-rays.
Lines closer than 0.1° are merged.

Atomic structure:
a = 5.3754 Å, b = 13.3952 Å, c = 13.5297 Å
α = 90.00°, β = 90.00°, γ = 90.00°
Space group Fmmm (No. 69)
One atom of each set of equivalent atoms:
Li 0.2500 0.0000 0.2500
Pm 0.0000 0.0000 0.0000
Ag 0.0000 0.1045 0.3865
Ag 0.0000 0.1714 0.1781
Ag 0.2500 0.2500 0.0000

Largest 6 diffraction maxima, by angle, 2θ from 5° to 70°:
32.77°, intensity 49
33.34°, intensity 32
37.81°, intensity 100
38.12°, intensity 50
38.47°, intensity 40
68.69°, intensity 33

The following is a simulated powder diffraction line list of Pa4PRuS2. It was derived from a DFT-relaxed cell (PBE, Alexandria), using Cu Kα X-rays.
Lines closer than 0.1° are merged.

Atomic structure:
a = 6.8664 Å, b = 3.8264 Å, c = 6.9457 Å
α = 90.00°, β = 107.79°, γ = 90.00°
Space group P2/m (No. 10)
One atom of each set of equivalent atoms:
Pa 0.2449 0.0000 0.2447
Pa 0.2473 0.5000 0.7529
P 0.0000 0.0000 0.5000
Ru 0.0000 0.5000 0.0000
S 0.5000 0.0000 0.0000
S 0.5000 0.5000 0.5000

Largest 6 diffraction maxima, by angle, 2θ from 5° to 70°:
26.96°, intensity 21
27.28°, intensity 20
28.28°, intensity 37
32.10°, intensity 100
45.83°, intensity 25
46.23°, intensity 24